# LaMoO5
Simulated powder X-ray diffraction pattern, λ = 1.5418 Å (Cu Kα). Input: DFT lattice parameters and positions (GGA+U).
No peak broadening, texture or thermal motion is included.

Top 12 peaks for 2θ = 5–70°, in order of rising 2θ:
| 2θ (°) | intensity |
| --- | --- |
| 13.6 | 100 |
| 18.9 | 73 |
| 21.8 | 97 |
| 25.2 | 49 |
| 26.2 | 57 |
| 26.7 | 51 |
| 27.1 | 94 |
| 27.4 | 82 |
| 29.9 | 63 |
| 30.6 | 43 |
| 32.8 | 51 |
| 43.8 | 47 |

Cell and atoms:
a = 5.586 Å, b = 13.050 Å, c = 7.270 Å
α = 90.00°, β = 115.40°, γ = 90.00°
Fractional positions:
La: 0.155 0.063 0.283
La: 0.155 0.437 0.783
La: 0.845 0.563 0.217
La: 0.845 0.937 0.717
Mo: 0.422 0.134 0.858
Mo: 0.422 0.366 0.358
Mo: 0.578 0.634 0.642
Mo: 0.578 0.866 0.142
O: 0.036 0.553 0.982
O: 0.036 0.947 0.482
O: 0.215 0.061 0.954
O: 0.215 0.439 0.454
O: 0.274 0.655 0.428
O: 0.274 0.845 0.928
O: 0.286 0.242 0.273
O: 0.286 0.258 0.773
O: 0.491 0.572 0.832
O: 0.491 0.928 0.332
O: 0.509 0.072 0.668
O: 0.509 0.428 0.168
O: 0.714 0.742 0.227
O: 0.714 0.758 0.727
O: 0.726 0.155 0.072
O: 0.726 0.345 0.572
O: 0.785 0.561 0.546
O: 0.785 0.939 0.046
O: 0.964 0.053 0.518
O: 0.964 0.447 0.018

# LaMo5O8
Simulated powder X-ray diffraction pattern, λ = 1.5418 Å (Cu Kα). Input: DFT lattice parameters and positions (GGA+U).
No peak broadening, texture or thermal motion is included.

Top 12 peaks for 2θ = 5–70°, in order of rising 2θ:
| 2θ (°) | intensity |
| --- | --- |
| 13.1 | 27 |
| 29.1 | 40 |
| 29.4 | 33 |
| 30.0 | 100 |
| 32.0 | 58 |
| 33.8 | 56 |
| 34.3 | 42 |
| 35.7 | 27 |
| 35.8 | 25 |
| 44.2 | 35 |
| 59.9 | 22 |
| 60.9 | 37 |

Cell and atoms:
a = 8.287 Å, b = 9.368 Å, c = 10.458 Å
α = 90.00°, β = 111.29°, γ = 90.00°
Fractional positions:
La: 0.231 0.024 0.485
La: 0.231 0.476 0.985
La: 0.769 0.524 0.015
La: 0.769 0.976 0.515
Mo: 0.100 0.126 0.813
Mo: 0.100 0.374 0.313
Mo: 0.113 0.639 0.485
Mo: 0.113 0.861 0.985
Mo: 0.297 0.638 0.291
Mo: 0.297 0.862 0.791
Mo: 0.309 0.119 0.131
Mo: 0.309 0.381 0.631
Mo: 0.494 0.139 0.914
Mo: 0.494 0.361 0.414
Mo: 0.506 0.639 0.586
Mo: 0.506 0.861 0.086
Mo: 0.691 0.619 0.369
Mo: 0.691 0.881 0.869
Mo: 0.703 0.138 0.209
Mo: 0.703 0.362 0.709
Mo: 0.887 0.139 0.015
Mo: 0.887 0.361 0.515
Mo: 0.900 0.626 0.687
Mo: 0.900 0.874 0.187
O: 0.092 0.000 0.144
O: 0.092 0.500 0.644
O: 0.093 0.514 0.150
O: 0.093 0.986 0.650
O: 0.106 0.244 0.992
O: 0.106 0.256 0.492
O: 0.121 0.719 0.831
O: 0.121 0.781 0.331
O: 0.291 0.221 0.305
O: 0.291 0.279 0.805
O: 0.312 0.729 0.109
O: 0.312 0.771 0.609
O: 0.465 0.003 0.742
O: 0.465 0.497 0.242
O: 0.487 0.240 0.586
O: 0.487 0.260 0.086
O: 0.513 0.740 0.914
O: 0.513 0.760 0.414
O: 0.535 0.503 0.758
O: 0.535 0.997 0.258
O: 0.688 0.229 0.391
O: 0.688 0.271 0.891
O: 0.709 0.721 0.195
O: 0.709 0.779 0.695
O: 0.879 0.219 0.669
O: 0.879 0.281 0.169
O: 0.894 0.744 0.508
O: 0.894 0.756 0.008
O: 0.907 0.014 0.350
O: 0.907 0.486 0.850
O: 0.908 0.000 0.856
O: 0.908 0.500 0.356

# La2MoO5
Simulated powder X-ray diffraction pattern, λ = 1.5418 Å (Cu Kα). Input: DFT lattice parameters and positions (GGA+U).
No peak broadening, texture or thermal motion is included.

Top 12 peaks for 2θ = 5–70°, in order of rising 2θ:
| 2θ (°) | intensity |
| --- | --- |
| 26.5 | 100 |
| 31.3 | 29 |
| 32.5 | 20 |
| 35.5 | 10 |
| 43.4 | 20 |
| 44.9 | 23 |
| 50.3 | 24 |
| 52.4 | 6 |
| 52.9 | 23 |
| 54.5 | 9 |
| 58.5 | 5 |
| 65.4 | 6 |

Cell and atoms:
a = 7.073 Å, b = 7.073 Å, c = 7.073 Å
α = 100.71°, β = 100.71°, γ = 128.93°
Fractional positions:
La: 0.108 0.678 0.786
La: 0.322 0.108 0.430
La: 0.678 0.892 0.570
La: 0.892 0.322 0.214
Mo: 0.296 0.296 0.000
Mo: 0.704 0.704 0.000
O: 0.045 0.330 0.906
O: 0.140 0.045 0.716
O: 0.250 0.750 0.500
O: 0.330 0.424 0.284
O: 0.424 0.140 0.094
O: 0.576 0.860 0.906
O: 0.670 0.576 0.716
O: 0.750 0.250 0.500
O: 0.860 0.955 0.284
O: 0.955 0.670 0.094

# LaMoO2
Simulated powder X-ray diffraction pattern, λ = 1.5418 Å (Cu Kα). Input: DFT lattice parameters and positions (GGA+U).
No peak broadening, texture or thermal motion is included.

Top 12 peaks for 2θ = 5–70°, in order of rising 2θ:
| 2θ (°) | intensity |
| --- | --- |
| 15.4 | 6 |
| 28.4 | 44 |
| 31.0 | 100 |
| 31.7 | 3 |
| 38.5 | 2 |
| 39.3 | 42 |
| 49.2 | 37 |
| 52.0 | 31 |
| 56.8 | 14 |
| 58.9 | 4 |
| 64.7 | 16 |
| 66.1 | 24 |

Cell and atoms:
a = 7.774 Å, b = 7.774 Å, c = 7.774 Å
α = 130.67°, β = 130.67°, γ = 72.33°
Fractional positions:
La: 0.000 0.000 0.000
La: 0.000 0.000 0.500
La: 0.000 0.500 0.000
La: 0.500 0.000 0.500
Mo: 0.000 0.500 0.500
Mo: 0.500 0.000 0.000
Mo: 0.500 0.500 0.000
Mo: 0.500 0.500 0.500
O: 0.199 0.230 0.531
O: 0.199 0.669 0.969
O: 0.230 0.199 0.031
O: 0.331 0.801 0.531
O: 0.669 0.199 0.469
O: 0.770 0.801 0.969
O: 0.801 0.331 0.031
O: 0.801 0.770 0.469